This entry pairs a crystal structure of Li4Au3 with its simulated powder X-ray diffraction pattern. Radiation: Cu Kα, 1.54184 Å. Structure: a DFT-relaxed cell (GGA-PBE, Alexandria).

Cell and atoms:
```
data_Li4Au3
_chemical_formula_sum 'Li8 Au6'
_space_group_name_H-M_alt 'I m m m'
_space_group_IT_number 71
_space_group_name_Hall '-I 2 2'
_cell_length_a 2.9048
_cell_length_b 3.6696
_cell_length_c 20.2498
_cell_angle_alpha 90.00
_cell_angle_beta 90.00
_cell_angle_gamma 90.00
loop_
_atom_site_label
_atom_site_fract_x
_atom_site_fract_y
_atom_site_fract_z
Li1 0.0000 0.0000 0.0724
Li2 0.0000 0.0000 0.2130
Au1 0.0000 0.0000 0.3516
Au2 0.0000 0.0000 0.5000
```

Main lines, by angle (2θ = 5–70°):
8.7°, rel. 17, (0 0 2)
24.7°, rel. 100, (0 1 1)
26.4°, rel. 58, (0 0 6)
31.1°, rel. 56, (1 0 1)
39.6°, rel. 63, (1 1 0)
39.7°, rel. 60, (0 1 7)
44.2°, rel. 45, (1 0 7)
48.2°, rel. 47, (1 1 6)
59.8°, rel. 18, (1 2 1)
68.7°, rel. 25, (1 2 7)